(1)
# NdSm2PaSe4
Calculated PXRD pattern, Cu Kα (weighted mean of Kα1 and Kα2). Input: a crystal structure in Alexandria, relaxed with PBE.
Neutral-atom scattering factors, no anomalous dispersion.

Crystal structure
a b c (Å): 7.216 4.129 7.227
angles (deg): 90.00 109.06 90.00
Positions (direct):
Nd1 0.000 0.000 0.000
Sm1 0.000 0.500 0.500
Sm2 0.500 0.000 0.500
Pa1 0.500 0.500 0.000
Se1 0.255 0.000 0.752
Se2 0.256 0.500 0.251
Se3 0.744 0.500 0.749
Se4 0.745 0.000 0.248

Most intense lines, 10 to 90 degrees two-theta, sorted by position:
- d 3.413, 2θ = 26.11°, intensity 121
- d 3.379, 2θ = 26.37°, intensity 117
- d 2.941, 2θ = 30.39°, intensity 1000
- d 2.095, 2θ = 43.18°, intensity 127
- d 2.080, 2θ = 43.52°, intensity 499
- d 2.065, 2θ = 43.85°, intensity 122
- d 1.706, 2θ = 53.71°, intensity 134
- d 1.690, 2θ = 54.29°, intensity 130
- d 1.471, 2θ = 63.23°, intensity 123
- d 1.315, 2θ = 71.77°, intensity 226

(2)
# Ta3V3N
Calculated PXRD pattern, Cu Kα (weighted mean of Kα1 and Kα2). Input: a crystal structure in Alexandria, relaxed with PBE.
Neutral-atom scattering factors, no anomalous dispersion.

Crystal structure
a b c (Å): 8.249 8.249 8.249
angles (deg): 60.00 60.00 60.00
Positions (direct):
Ta1 0.064 0.064 0.686
Ta2 0.064 0.686 0.064
Ta3 0.064 0.686 0.686
Ta4 0.314 0.314 0.936
Ta5 0.314 0.936 0.314
Ta6 0.314 0.936 0.936
Ta7 0.686 0.064 0.064
Ta8 0.686 0.064 0.686
Ta9 0.686 0.686 0.064
Ta10 0.936 0.314 0.314
Ta11 0.936 0.314 0.936
Ta12 0.936 0.936 0.314
V1 0.000 0.500 0.500
V2 0.293 0.293 0.293
V3 0.293 0.293 0.622
V4 0.293 0.622 0.293
V5 0.378 0.707 0.707
V6 0.500 0.000 0.500
V7 0.500 0.500 0.000
V8 0.500 0.500 0.500
V9 0.622 0.293 0.293
V10 0.707 0.378 0.707
V11 0.707 0.707 0.378
V12 0.707 0.707 0.707
N1 0.000 0.000 0.000
N2 0.000 0.000 0.500
N3 0.000 0.500 0.000
N4 0.500 0.000 0.000

Most intense lines, 10 to 90 degrees two-theta, sorted by position:
- d 6.735, 2θ = 13.15°, intensity 246
- d 2.916, 2θ = 30.66°, intensity 242
- d 2.676, 2θ = 33.48°, intensity 337
- d 2.381, 2θ = 37.78°, intensity 609
- d 2.245, 2θ = 40.17°, intensity 1000
- d 2.062, 2θ = 43.90°, intensity 223
- d 1.634, 2θ = 56.32°, intensity 170
- d 1.425, 2θ = 65.49°, intensity 136
- d 1.375, 2θ = 68.22°, intensity 522
- d 1.172, 2θ = 82.22°, intensity 173

(3)
# La4OsCl3
Calculated PXRD pattern, Cu Kα (weighted mean of Kα1 and Kα2). Input: a crystal structure in Alexandria, relaxed with PBE.
Neutral-atom scattering factors, no anomalous dispersion.

Crystal structure
a b c (Å): 7.515 8.551 7.279
angles (deg): 90.00 108.39 90.00
Positions (direct):
La1 0.221 0.135 0.479
La2 0.221 0.865 0.979
La3 0.224 0.388 0.009
La4 0.224 0.612 0.509
La5 0.776 0.388 0.491
La6 0.776 0.612 0.991
La7 0.779 0.135 0.021
La8 0.779 0.865 0.521
Os1 0.000 0.373 0.250
Os2 0.000 0.627 0.750
Cl1 0.000 0.132 0.750
Cl2 0.000 0.868 0.250
Cl3 0.500 0.111 0.250
Cl4 0.500 0.357 0.750
Cl5 0.500 0.643 0.250
Cl6 0.500 0.889 0.750

Most intense lines, 10 to 90 degrees two-theta, sorted by position:
- d 8.551, 2θ = 10.34°, intensity 127
- d 7.132, 2θ = 12.41°, intensity 320
- d 5.373, 2θ = 16.50°, intensity 108
- d 3.481, 2θ = 25.59°, intensity 120
- d 3.041, 2θ = 29.37°, intensity 1000
- d 2.998, 2θ = 29.80°, intensity 475
- d 2.162, 2θ = 41.79°, intensity 506
- d 2.138, 2θ = 42.28°, intensity 179
- d 2.110, 2θ = 42.85°, intensity 346
- d 1.741, 2θ = 52.58°, intensity 176

(4)
# La3Ce2Pb4
Calculated PXRD pattern, Cu Kα (weighted mean of Kα1 and Kα2). Input: a crystal structure in Alexandria, relaxed with PBE.
Neutral-atom scattering factors, no anomalous dispersion.

Crystal structure
a b c (Å): 8.871 8.871 7.181
angles (deg): 103.45 103.45 33.87
Positions (direct):
La1 0.000 0.000 0.000
La2 0.121 0.121 0.573
La3 0.879 0.879 0.427
Ce1 0.340 0.340 0.925
Ce2 0.660 0.660 0.075
Pb1 0.246 0.246 0.275
Pb2 0.495 0.495 0.710
Pb3 0.505 0.505 0.290
Pb4 0.754 0.754 0.725

Most intense lines, 10 to 90 degrees two-theta, sorted by position:
- d 4.116, 2θ = 21.59°, intensity 169
- d 3.101, 2θ = 28.79°, intensity 1000
- d 3.049, 2θ = 29.29°, intensity 360
- d 2.798, 2θ = 31.99°, intensity 480
- d 2.782, 2θ = 32.18°, intensity 555
- d 2.751, 2θ = 32.55°, intensity 269
- d 2.584, 2θ = 34.72°, intensity 488
- d 2.162, 2θ = 41.78°, intensity 247
- d 1.971, 2θ = 46.05°, intensity 213
- d 1.610, 2θ = 57.24°, intensity 160

(5)
# NdSmZnAu
Calculated PXRD pattern, Cu Kα (weighted mean of Kα1 and Kα2). Input: a crystal structure in Alexandria, relaxed with PBE.
Neutral-atom scattering factors, no anomalous dispersion.

Crystal structure
a b c (Å): 3.713 3.713 7.210
angles (deg): 90.00 90.00 90.00
Positions (direct):
Nd1 0.000 0.000 0.000
Sm1 0.000 0.000 0.505
Zn1 0.500 0.500 0.748
Au1 0.500 0.500 0.262

Most intense lines, 10 to 90 degrees two-theta, sorted by position:
- d 7.210, 2θ = 12.28°, intensity 128
- d 3.301, 2θ = 27.01°, intensity 102
- d 2.625, 2θ = 34.15°, intensity 524
- d 2.586, 2θ = 34.68°, intensity 1000
- d 1.856, 2θ = 49.07°, intensity 189
- d 1.802, 2θ = 50.64°, intensity 84
- d 1.508, 2θ = 61.48°, intensity 381
- d 1.486, 2θ = 62.50°, intensity 179
- d 1.293, 2θ = 73.19°, intensity 112
- d 1.174, 2θ = 82.08°, intensity 85

(6)
# Pr4Cd3Sn
Calculated PXRD pattern, Cu Kα (weighted mean of Kα1 and Kα2). Input: a crystal structure in Alexandria, relaxed with PBE.
Neutral-atom scattering factors, no anomalous dispersion.

Crystal structure
a b c (Å): 9.560 9.560 9.560
angles (deg): 33.38 33.38 33.38
Positions (direct):
Pr1 0.124 0.124 0.124
Pr2 0.374 0.374 0.374
Pr3 0.626 0.626 0.626
Pr4 0.876 0.876 0.876
Cd1 0.245 0.245 0.245
Cd2 0.500 0.500 0.500
Cd3 0.755 0.755 0.755
Sn1 0.000 0.000 0.000

Most intense lines, 10 to 90 degrees two-theta, sorted by position:
- d 2.756, 2θ = 32.49°, intensity 994
- d 2.746, 2θ = 32.61°, intensity 1000
- d 1.945, 2θ = 46.70°, intensity 359
- d 1.593, 2θ = 57.87°, intensity 179
- d 1.587, 2θ = 58.14°, intensity 559
- d 1.378, 2θ = 68.03°, intensity 110
- d 1.373, 2θ = 68.32°, intensity 115
- d 1.232, 2θ = 77.50°, intensity 152
- d 1.229, 2θ = 77.71°, intensity 158
- d 1.122, 2θ = 86.83°, intensity 61

(7)
# Hf4GaN2
Calculated PXRD pattern, Cu Kα (weighted mean of Kα1 and Kα2). Input: a crystal structure in Alexandria, relaxed with PBE.
Neutral-atom scattering factors, no anomalous dispersion.

Crystal structure
a b c (Å): 5.781 5.781 11.434
angles (deg): 90.00 90.00 146.29
Positions (direct):
Hf1 0.000 0.000 0.000
Hf2 0.000 0.000 0.500
Hf3 0.261 0.739 0.606
Hf4 0.261 0.739 0.894
Hf5 0.420 0.580 0.250
Hf6 0.580 0.420 0.750
Hf7 0.739 0.261 0.106
Hf8 0.739 0.261 0.394
Ga1 0.109 0.891 0.250
Ga2 0.891 0.109 0.750
N1 0.366 0.634 0.062
N2 0.366 0.634 0.438
N3 0.634 0.366 0.562
N4 0.634 0.366 0.938

Most intense lines, 10 to 90 degrees two-theta, sorted by position:
- d 2.798, 2θ = 31.98°, intensity 450
- d 2.540, 2θ = 35.34°, intensity 956
- d 2.490, 2θ = 36.07°, intensity 363
- d 2.455, 2θ = 36.61°, intensity 909
- d 2.425, 2θ = 37.08°, intensity 1000
- d 2.276, 2θ = 39.60°, intensity 253
- d 1.676, 2θ = 54.76°, intensity 247
- d 1.662, 2θ = 55.28°, intensity 283
- d 1.399, 2θ = 66.87°, intensity 303
- d 1.364, 2θ = 68.82°, intensity 262

(8)
# RbLi2WCl8
Calculated PXRD pattern, Cu Kα (weighted mean of Kα1 and Kα2). Input: a crystal structure in Alexandria, relaxed with PBE.
Neutral-atom scattering factors, no anomalous dispersion.

Crystal structure
a b c (Å): 6.311 6.366 9.276
angles (deg): 88.97 88.80 74.15
Positions (direct):
Rb1 0.000 0.000 0.000
Li1 0.498 0.500 0.161
Li2 0.502 0.500 0.839
W1 0.000 0.000 0.500
Cl1 0.216 0.235 0.504
Cl2 0.221 0.779 0.681
Cl3 0.234 0.795 0.318
Cl4 0.326 0.329 0.004
Cl5 0.674 0.671 0.996
Cl6 0.766 0.205 0.682
Cl7 0.779 0.221 0.319
Cl8 0.784 0.765 0.496

Most intense lines, 10 to 90 degrees two-theta, sorted by position:
- d 6.124, 2θ = 14.46°, intensity 800
- d 6.070, 2θ = 14.59°, intensity 766
- d 5.129, 2θ = 17.29°, intensity 404
- d 5.060, 2θ = 17.53°, intensity 949
- d 4.636, 2θ = 19.14°, intensity 625
- d 3.821, 2θ = 23.28°, intensity 325
- d 3.717, 2θ = 23.94°, intensity 365
- d 3.094, 2θ = 28.85°, intensity 282
- d 2.949, 2θ = 30.31°, intensity 1000
- d 2.528, 2θ = 35.51°, intensity 264

(9)
# SrCaSbBr
Calculated PXRD pattern, Cu Kα (weighted mean of Kα1 and Kα2). Input: a crystal structure in Alexandria, relaxed with PBE.
Neutral-atom scattering factors, no anomalous dispersion.

Crystal structure
a b c (Å): 12.906 12.906 12.906
angles (deg): 23.01 23.01 23.01
Positions (direct):
Sr1 0.108 0.108 0.108
Sr2 0.892 0.892 0.892
Ca1 0.302 0.302 0.302
Ca2 0.698 0.698 0.698
Sb1 0.389 0.389 0.389
Sb2 0.611 0.611 0.611
Br1 0.196 0.196 0.196
Br2 0.804 0.804 0.804

Most intense lines, 10 to 90 degrees two-theta, sorted by position:
- d 4.030, 2θ = 22.06°, intensity 748
- d 3.140, 2θ = 28.43°, intensity 134
- d 2.878, 2θ = 31.08°, intensity 1000
- d 2.574, 2θ = 34.85°, intensity 951
- d 2.304, 2θ = 39.10°, intensity 243
- d 2.169, 2θ = 41.63°, intensity 142
- d 1.991, 2θ = 45.57°, intensity 213
- d 1.919, 2θ = 47.38°, intensity 299
- d 1.538, 2θ = 60.15°, intensity 288
- d 1.486, 2θ = 62.49°, intensity 167

(10)
# Si3Os5
Calculated PXRD pattern, Cu Kα (weighted mean of Kα1 and Kα2). Input: a crystal structure in Alexandria, relaxed with PBE.
Neutral-atom scattering factors, no anomalous dispersion.

Crystal structure
a b c (Å): 6.984 6.984 6.794
angles (deg): 97.41 97.41 134.38
Positions (direct):
Si1 0.000 0.000 0.000
Si2 0.152 0.528 0.605
Si3 0.180 0.699 0.105
Si4 0.528 0.152 0.605
Si5 0.662 0.662 0.245
Si6 0.699 0.180 0.105
Os1 0.018 0.701 0.396
Os2 0.194 0.194 0.604
Os3 0.195 0.423 0.272
Os4 0.199 0.886 0.822
Os5 0.423 0.195 0.272
Os6 0.472 0.699 0.943
Os7 0.699 0.472 0.943
Os8 0.701 0.018 0.396
Os9 0.702 0.702 0.619
Os10 0.886 0.199 0.822

Most intense lines, 10 to 90 degrees two-theta, sorted by position:
- d 3.218, 2θ = 27.72°, intensity 414
- d 2.873, 2θ = 31.14°, intensity 402
- d 2.701, 2θ = 33.17°, intensity 352
- d 2.271, 2θ = 39.68°, intensity 776
- d 2.222, 2θ = 40.61°, intensity 249
- d 2.139, 2θ = 42.25°, intensity 510
- d 2.082, 2θ = 43.47°, intensity 314
- d 2.069, 2θ = 43.76°, intensity 1000
- d 1.997, 2θ = 45.41°, intensity 552
- d 1.350, 2θ = 69.66°, intensity 221

(11)
# Pr4Ge6O19
Calculated PXRD pattern, Cu Kα (weighted mean of Kα1 and Kα2). Input: a crystal structure in Alexandria, relaxed with PBE.
Neutral-atom scattering factors, no anomalous dispersion.

Crystal structure
a b c (Å): 7.664 7.664 7.664
angles (deg): 109.47 109.47 109.47
Positions (direct):
Pr1 0.000 0.000 0.323
Pr2 0.000 0.323 0.000
Pr3 0.323 0.000 0.000
Pr4 0.677 0.677 0.677
Ge1 0.162 0.500 0.662
Ge2 0.338 0.838 0.500
Ge3 0.500 0.338 0.838
Ge4 0.500 0.662 0.162
Ge5 0.662 0.162 0.500
Ge6 0.838 0.500 0.338
O1 0.000 0.000 0.000
O2 0.000 0.352 0.352
O3 0.000 0.648 0.648
O4 0.043 0.672 0.293
O5 0.251 0.629 0.957
O6 0.293 0.043 0.672
O7 0.328 0.371 0.621
O8 0.352 0.000 0.352
O9 0.352 0.352 0.000
O10 0.371 0.621 0.328
O11 0.379 0.749 0.707
O12 0.621 0.328 0.371
O13 0.629 0.957 0.251
O14 0.648 0.000 0.648
O15 0.648 0.648 0.000
O16 0.672 0.293 0.043
O17 0.707 0.379 0.749
O18 0.749 0.707 0.379
O19 0.957 0.251 0.629

Most intense lines, 10 to 90 degrees two-theta, sorted by position:
- d 3.613, 2θ = 24.64°, intensity 1000
- d 2.799, 2θ = 31.98°, intensity 773
- d 2.555, 2θ = 35.13°, intensity 176
- d 2.365, 2θ = 38.05°, intensity 385
- d 2.086, 2θ = 43.38°, intensity 613
- d 1.806, 2θ = 50.52°, intensity 231
- d 1.736, 2θ = 52.74°, intensity 270
- d 1.616, 2θ = 57.00°, intensity 210
- d 1.475, 2θ = 63.02°, intensity 333
- d 1.204, 2θ = 79.60°, intensity 199

(12)
# Y3SiP2Rh9
Calculated PXRD pattern, Cu Kα (weighted mean of Kα1 and Kα2). Input: a crystal structure in Alexandria, relaxed with PBE.
Neutral-atom scattering factors, no anomalous dispersion.

Crystal structure
a b c (Å): 6.112 6.112 8.374
angles (deg): 90.00 90.00 120.00
Positions (direct):
Y1 0.000 0.000 0.000
Y2 0.333 0.667 0.672
Y3 0.667 0.333 0.328
Si1 0.000 0.000 0.500
P1 0.333 0.667 0.171
P2 0.667 0.333 0.829
Rh1 0.000 0.500 0.000
Rh2 0.151 0.303 0.293
Rh3 0.151 0.849 0.293
Rh4 0.303 0.151 0.707
Rh5 0.500 0.000 0.000
Rh6 0.500 0.500 0.000
Rh7 0.697 0.849 0.293
Rh8 0.849 0.151 0.707
Rh9 0.849 0.697 0.707

Most intense lines, 10 to 90 degrees two-theta, sorted by position:
- d 8.374, 2θ = 10.56°, intensity 119
- d 2.791, 2θ = 32.06°, intensity 340
- d 2.524, 2θ = 35.57°, intensity 1000
- d 2.237, 2θ = 40.31°, intensity 914
- d 1.642, 2θ = 56.01°, intensity 242
- d 1.528, 2θ = 60.60°, intensity 264
- d 1.415, 2θ = 66.01°, intensity 135
- d 1.340, 2θ = 70.22°, intensity 181
- d 1.262, 2θ = 75.32°, intensity 129
- d 1.234, 2θ = 77.29°, intensity 129